[1]
For PmAl4Au, a structure optimized by DFT (GGA-PBE) gives the calculated PXRD pattern in this record (a wavelength of 1.5418 Å).
Intensities are scaled so that the largest is 100.

a b c (Å): 8.2514 8.2514 6.8718
angles (deg): 90.00 90.00 149.92
Fractional coordinates of all 12 atoms:
Pm  0.1126  0.8874  0.7500
Pm  0.8874  0.1126  0.2500
Al  0.0703  0.9297  0.2500
Al  0.3234  0.6766  0.5529
Al  0.3234  0.6766  0.9471
Al  0.5000  0.5000  0.0000
Al  0.5000  0.5000  0.5000
Al  0.6766  0.3234  0.0529
Al  0.6766  0.3234  0.4471
Al  0.9297  0.0703  0.7500
Au  0.2286  0.7714  0.2500
Au  0.7714  0.2286  0.7500

Principal peaks in the range 2θ from 10° to 90°, low angle first:
2θ/deg  d (Å)  Rel. int.
11.10  7.969  72
25.91  3.439  59
29.78  3.000  100
33.92  2.643  40
36.26  2.478  33
37.55  2.395  61
42.20  2.141  26
43.04  2.101  21
48.20  1.888  30
50.19  1.818  20

[2]
For PmAl4Au8, a structure optimized by DFT (GGA-PBE) gives the calculated PXRD pattern in this record (a wavelength of 1.5418 Å).
Intensities are scaled so that the largest is 100.

a b c (Å): 7.1065 7.1065 7.1065
angles (deg): 98.67 98.67 134.30
Fractional coordinates of all 13 atoms:
Pm  0.0000  0.0000  0.0000
Al  0.0000  0.0000  0.5000
Al  0.0000  0.5000  0.0000
Al  0.5000  0.0000  0.0000
Al  0.5000  0.5000  0.5000
Au  0.0000  0.3290  0.3290
Au  0.0000  0.6710  0.6710
Au  0.2811  0.5000  0.7811
Au  0.3290  0.0000  0.3290
Au  0.5000  0.2811  0.7811
Au  0.5000  0.7189  0.2189
Au  0.6710  0.0000  0.6710
Au  0.7189  0.5000  0.2189

Principal peaks in the range 2θ from 10° to 90°, low angle first:
2θ/deg  d (Å)  Rel. int.
27.24  3.274  61
32.44  2.760  63
33.25  2.694  52
38.66  2.329  100
38.90  2.315  40
42.86  2.110  57
43.50  2.081  27
51.52  1.774  24
62.05  1.496  25
70.28  1.339  36

[3]
For Pm4Al12Au, a structure optimized by DFT (GGA-PBE) gives the calculated PXRD pattern in this record (a wavelength of 1.5418 Å).
Intensities are scaled so that the largest is 100.

a b c (Å): 7.6316 7.6316 7.6316
angles (deg): 109.47 109.47 109.47
Fractional coordinates of all 17 atoms:
Pm  0.0000  0.0000  0.5000
Pm  0.0000  0.5000  0.0000
Pm  0.5000  0.0000  0.0000
Pm  0.5000  0.5000  0.5000
Al  0.0000  0.3015  0.3015
Al  0.0000  0.6985  0.6985
Al  0.2500  0.5000  0.7500
Al  0.2500  0.7500  0.5000
Al  0.3015  0.0000  0.3015
Al  0.3015  0.3015  0.0000
Al  0.5000  0.2500  0.7500
Al  0.5000  0.7500  0.2500
Al  0.6985  0.0000  0.6985
Al  0.6985  0.6985  0.0000
Al  0.7500  0.2500  0.5000
Al  0.7500  0.5000  0.2500
Au  0.0000  0.0000  0.0000

Principal peaks in the range 2θ from 10° to 90°, low angle first:
2θ/deg  d (Å)  Rel. int.
14.21  6.231  26
24.75  3.598  18
28.65  3.116  100
35.28  2.544  37
38.21  2.355  21
40.97  2.203  45
50.75  1.799  37
59.32  1.558  28
67.19  1.393  21
81.79  1.178  23

[4]
For PmAl3Au10, a structure optimized by DFT (GGA-PBE) gives the calculated PXRD pattern in this record (a wavelength of 1.5418 Å).
Intensities are scaled so that the largest is 100.

a b c (Å): 9.2182 9.2132 9.2060
angles (deg): 60.06 60.01 59.93
Fractional coordinates of all 28 atoms:
Pm  0.2500  0.2500  0.2500
Pm  0.7500  0.7500  0.7500
Al  0.2359  0.2359  0.7641
Al  0.2358  0.7642  0.2358
Al  0.2358  0.7642  0.7642
Al  0.7642  0.2358  0.2358
Al  0.7642  0.2358  0.7642
Al  0.7641  0.7641  0.2359
Au  0.1163  0.1162  0.1163
Au  0.1162  0.1163  0.6511
Au  0.1163  0.6511  0.1163
Au  0.1565  0.5001  0.4999
Au  0.1563  0.5002  0.8437
Au  0.1564  0.8436  0.5001
Au  0.3489  0.8837  0.8838
Au  0.5002  0.1563  0.4998
Au  0.5001  0.1565  0.8435
Au  0.5001  0.4999  0.1564
Au  0.4999  0.5001  0.8436
Au  0.4999  0.8435  0.1565
Au  0.4998  0.8437  0.5002
Au  0.6511  0.1163  0.1162
Au  0.8436  0.1564  0.4999
Au  0.8437  0.4998  0.1563
Au  0.8435  0.4999  0.5001
Au  0.8837  0.3489  0.8837
Au  0.8838  0.8837  0.3489
Au  0.8837  0.8838  0.8837

Principal peaks in the range 2θ from 10° to 90°, low angle first:
2θ/deg  d (Å)  Rel. int.
27.38  3.257  9
30.69  2.913  33
33.70  2.659  17
35.81  2.507  100
39.11  2.303  19
40.98  2.202  49
46.22  1.964  13
60.25  1.536  17
61.65  1.505  13
70.84  1.330  12

[5]
For PmTmAlAu, a structure optimized by DFT (GGA-PBE) gives the calculated PXRD pattern in this record (a wavelength of 1.5418 Å).
Intensities are scaled so that the largest is 100.

a b c (Å): 5.1693 5.1693 5.1693
angles (deg): 60.00 60.00 60.00
Fractional coordinates of all 4 atoms:
Pm  0.0000  0.0000  0.0000
Tm  0.5000  0.5000  0.5000
Al  0.7500  0.7500  0.7500
Au  0.2500  0.2500  0.2500

Principal peaks in the range 2θ from 10° to 90°, low angle first:
2θ/deg  d (Å)  Rel. int.
21.05  4.221  23
34.71  2.585  100
40.94  2.204  13
49.90  1.828  18
54.73  1.677  6
62.21  1.492  37
66.45  1.407  4
73.24  1.292  12
77.20  1.236  4
83.66  1.156  17

[6]
For PmAlZn2Au5, a structure optimized by DFT (GGA-PBE) gives the calculated PXRD pattern in this record (a wavelength of 1.5418 Å).
Intensities are scaled so that the largest is 100.

a b c (Å): 7.7964 7.7964 7.7964
angles (deg): 144.38 135.55 58.21
Fractional coordinates of all 9 atoms:
Pm  0.0000  0.0000  0.0000
Al  0.5000  0.5000  0.0000
Zn  0.3118  0.8118  0.5000
Zn  0.6882  0.1882  0.5000
Au  0.0869  0.3488  0.7381
Au  0.3894  0.6512  0.7381
Au  0.5000  0.0000  0.5000
Au  0.6106  0.3488  0.2619
Au  0.9131  0.6512  0.2619

Principal peaks in the range 2θ from 10° to 90°, low angle first:
2θ/deg  d (Å)  Rel. int.
27.11  3.289  100
36.43  2.467  72
37.72  2.385  41
39.69  2.271  27
40.46  2.229  39
41.11  2.195  24
55.91  1.644  20
56.51  1.628  30
60.18  1.538  25
89.21  1.098  25

[7]
For Pr7Al2Au2, a structure optimized by DFT (GGA-PBE) gives the calculated PXRD pattern in this record (a wavelength of 1.5418 Å).
Intensities are scaled so that the largest is 100.

a b c (Å): 7.0384 7.0384 7.4294
angles (deg): 90.00 90.00 108.06
Fractional coordinates of all 11 atoms:
Pr  0.0000  0.0000  0.0000
Pr  0.0000  0.5000  0.2787
Pr  0.0000  0.5000  0.7213
Pr  0.5000  0.0000  0.2787
Pr  0.5000  0.0000  0.7213
Pr  0.5000  0.5000  0.2657
Pr  0.5000  0.5000  0.7343
Al  0.1601  0.1601  0.5000
Al  0.8399  0.8399  0.5000
Au  0.2876  0.7124  0.0000
Au  0.7124  0.2876  0.0000

Principal peaks in the range 2θ from 10° to 90°, low angle first:
2θ/deg  d (Å)  Rel. int.
11.91  7.429  37
15.56  5.696  33
24.64  3.612  49
26.64  3.346  39
28.52  3.130  27
31.41  2.848  55
32.40  2.763  36
35.51  2.528  48
36.13  2.486  100
43.80  2.067  25

[8]
For Pr2Al7Au, a structure optimized by DFT (GGA-PBE) gives the calculated PXRD pattern in this record (a wavelength of 1.5418 Å).
Intensities are scaled so that the largest is 100.

a b c (Å): 4.3142 4.3142 11.1157
angles (deg): 90.00 90.00 90.00
Fractional coordinates of all 10 atoms:
Pr  0.0000  0.5000  0.2492
Pr  0.5000  0.0000  0.7508
Al  0.0000  0.0000  0.0000
Al  0.0000  0.5000  0.6333
Al  0.0000  0.5000  0.8612
Al  0.5000  0.0000  0.1388
Al  0.5000  0.0000  0.3667
Al  0.5000  0.5000  0.0000
Al  0.5000  0.5000  0.5000
Au  0.0000  0.0000  0.5000

Principal peaks in the range 2θ from 10° to 90°, low angle first:
2θ/deg  d (Å)  Rel. int.
22.10  4.022  58
31.84  2.811  50
32.21  2.779  17
33.51  2.674  100
41.88  2.157  36
45.92  1.976  22
53.55  1.711  23
53.81  1.704  19
58.26  1.584  20
71.16  1.325  23

[9]
For Pr2Al3Au, a structure optimized by DFT (GGA-PBE) gives the calculated PXRD pattern in this record (a wavelength of 1.5418 Å).
Intensities are scaled so that the largest is 100.

a b c (Å): 5.8764 5.8764 7.6243
angles (deg): 129.29 129.29 46.61
Fractional coordinates of all 6 atoms:
Pr  0.0000  0.0000  0.0000
Pr  0.0925  0.0925  0.5965
Al  0.3833  0.3833  0.2012
Al  0.3909  0.3909  0.5921
Al  0.7105  0.7105  0.4031
Au  0.7152  0.7152  0.0228

Principal peaks in the range 2θ from 10° to 90°, low angle first:
2θ/deg  d (Å)  Rel. int.
16.05  5.523  40
22.25  3.996  46
22.40  3.969  31
31.94  2.802  55
32.29  2.773  73
32.42  2.761  42
32.66  2.742  100
36.70  2.449  23
38.73  2.325  44
39.64  2.273  56

[10]
For Pr2Al3Zn4Au, a structure optimized by DFT (GGA-PBE) gives the calculated PXRD pattern in this record (a wavelength of 1.5418 Å).
Intensities are scaled so that the largest is 100.

a b c (Å): 4.2912 4.2912 10.8357
angles (deg): 90.00 90.00 90.00
Fractional coordinates of all 10 atoms:
Pr  0.0000  0.5000  0.2462
Pr  0.5000  0.0000  0.7538
Al  0.0000  0.5000  0.8689
Al  0.5000  0.0000  0.1311
Al  0.5000  0.5000  0.5000
Zn  0.0000  0.0000  0.0000
Zn  0.0000  0.5000  0.6396
Zn  0.5000  0.0000  0.3604
Zn  0.5000  0.5000  0.0000
Au  0.0000  0.0000  0.5000

Principal peaks in the range 2θ from 10° to 90°, low angle first:
2θ/deg  d (Å)  Rel. int.
22.28  3.990  28
26.50  3.364  16
32.40  2.763  43
33.86  2.647  100
42.12  2.146  42
46.97  1.934  21
54.12  1.695  20
61.08  1.517  14
64.90  1.437  15
71.70  1.316  24

[11]
For AlPt6Au, a structure optimized by DFT (GGA-PBE) gives the calculated PXRD pattern in this record (a wavelength of 1.5418 Å).
Intensities are scaled so that the largest is 100.

a b c (Å): 3.9677 3.9677 7.9486
angles (deg): 90.00 90.00 90.00
Fractional coordinates of all 8 atoms:
Al  0.0000  0.0000  0.0000
Pt  0.0000  0.5000  0.2379
Pt  0.0000  0.5000  0.7621
Pt  0.5000  0.0000  0.2379
Pt  0.5000  0.0000  0.7621
Pt  0.5000  0.5000  0.0000
Pt  0.5000  0.5000  0.5000
Au  0.0000  0.0000  0.5000

Principal peaks in the range 2θ from 10° to 90°, low angle first:
2θ/deg  d (Å)  Rel. int.
22.40  3.970  4
25.08  3.550  5
31.88  2.807  3
33.86  2.647  7
39.31  2.292  100
45.71  1.985  49
66.63  1.404  32
80.11  1.198  12
80.23  1.196  26
84.55  1.146  11

[12]
For Sm2Al4Pt3Au, a structure optimized by DFT (GGA-PBE) gives the calculated PXRD pattern in this record (a wavelength of 1.5418 Å).
Intensities are scaled so that the largest is 100.

a b c (Å): 4.2850 4.2850 10.5122
angles (deg): 90.00 90.00 90.00
Fractional coordinates of all 10 atoms:
Sm  0.0000  0.5000  0.2439
Sm  0.5000  0.0000  0.7561
Al  0.0000  0.0000  0.0000
Al  0.0000  0.5000  0.6339
Al  0.5000  0.0000  0.3661
Al  0.5000  0.5000  0.0000
Pt  0.0000  0.5000  0.8685
Pt  0.5000  0.0000  0.1315
Pt  0.5000  0.5000  0.5000
Au  0.0000  0.0000  0.5000

Principal peaks in the range 2θ from 10° to 90°, low angle first:
2θ/deg  d (Å)  Rel. int.
25.42  3.504  33
26.84  3.321  27
30.71  2.911  68
33.02  2.713  55
34.16  2.625  100
42.18  2.143  62
45.70  1.985  25
48.21  1.887  26
54.58  1.681  27
61.15  1.516  32

[13]
For YAl3PtAu, a structure optimized by DFT (GGA-PBE) gives the calculated PXRD pattern in this record (a wavelength of 1.5418 Å).
Intensities are scaled so that the largest is 100.

a b c (Å): 7.9325 7.9325 5.8104
angles (deg): 90.00 90.00 131.23
Fractional coordinates of all 12 atoms:
Y  0.1603  0.8397  0.7500
Y  0.8397  0.1603  0.2500
Al  0.2249  0.7751  0.2500
Al  0.2837  0.2837  0.0000
Al  0.2837  0.2837  0.5000
Al  0.7163  0.7163  0.0000
Al  0.7163  0.7163  0.5000
Al  0.7751  0.2249  0.7500
Pt  0.0611  0.9389  0.2500
Pt  0.9389  0.0611  0.7500
Au  0.3897  0.6103  0.2500
Au  0.6103  0.3897  0.7500

Principal peaks in the range 2θ from 10° to 90°, low angle first:
2θ/deg  d (Å)  Rel. int.
12.25  7.225  45
21.35  4.162  42
27.23  3.275  56
27.64  3.227  100
30.78  2.905  40
37.37  2.407  24
40.55  2.225  24
41.55  2.173  54
48.38  1.881  22
49.52  1.841  31